Sr4Ca: computed powder XRD pattern (copper Kα), based on the GGA-PBE geometry in Alexandria.
No peak broadening, texture or thermal motion is included.

Principal peaks in the range 2θ from 5° to 70°, low angle first:
two_theta, d (Å), I_rel, (hkl)
21.3, 4.181, 35.8, 1 2 -1
24.5, 3.633, 14.4, 2 0 0
27.1, 3.293, 10.6, 1 3 -1
27.5, 3.243, 100.0, 1 2 1
27.9, 3.198, 29.4, 1 0 -2
29.9, 2.987, 17.4, 0 4 0
41.4, 2.183, 14.2, 1 4 -2
49.2, 1.852, 10.5, 3 2 -3

```
Sr4Ca
1.0
7.9232 0.0000 0.0000
0.0000 11.9465 0.0000
-2.5514 0.0000 5.8659
Sr Ca
8 2
Direct
0.1819 0.1520 0.0907 Sr
0.1819 0.8480 0.5907 Sr
0.2183 0.3933 0.6068 Sr
0.2183 0.6067 0.1068 Sr
0.7817 0.3933 0.8932 Sr
0.7817 0.6067 0.3932 Sr
0.8181 0.1520 0.4093 Sr
0.8181 0.8480 0.9093 Sr
0.5000 0.1063 0.7500 Ca
0.5000 0.8937 0.2500 Ca
```